This entry pairs a crystal structure of Hg3AsBrO4 with its theoretical powder XRD pattern. Radiation: a wavelength of 1.5418 Å. Structure: a cell relaxed with PBE.

Atomic structure:
Cell: 8.711 8.711 8.711 Å, 90.00 90.00 90.00°
Space group P2_13 (No. 198)
Symmetry-distinct sites (fractional):
Hg  0.055  0.397  0.356 (multiplicity 12)
As  0.019  0.519  0.981 (multiplicity 4)
Br  0.233  0.767  0.267 (multiplicity 4)
O  0.096  0.896  0.628 (multiplicity 12)
O  0.133  0.633  0.867 (multiplicity 4)

Principal peaks in the range 10 to 90 degrees two-theta, in order of rising 2θ:
index, 2θ (°), I/Imax
1 1 1, 17.63, 51
2 1 0, 22.83, 49
2 1 1, 25.04, 52
2 2 1, 30.79, 59
3 1 0, 32.50, 44
3 1 1, 34.14, 100
2 2 2, 35.71, 28
3 2 1, 38.68, 28
4 0 1, 42.80, 37
4 1 2, 47.85, 39

This entry pairs a crystal structure of Hg3As8S8Br6 with its theoretical powder XRD pattern. Radiation: a wavelength of 1.5418 Å. Structure: a cell relaxed with PBE.

Atomic structure:
Cell: 10.301 11.800 14.743 Å, 90.00 108.89 90.00°
Space group P2_1/c (No. 14)
Symmetry-distinct sites (fractional):
Hg  0.000  0.000  0.000 (multiplicity 2)
Hg  0.255  0.216  0.316 (multiplicity 4)
As  0.131  0.673  0.020 (multiplicity 4)
As  0.369  0.651  0.686 (multiplicity 4)
As  0.376  0.582  0.078 (multiplicity 4)
As  0.386  0.630  0.513 (multiplicity 4)
S  0.150  0.713  0.647 (multiplicity 4)
S  0.173  0.689  0.426 (multiplicity 4)
S  0.459  0.672  0.221 (multiplicity 4)
S  0.482  0.699  0.002 (multiplicity 4)
Br  0.166  0.027  0.337 (multiplicity 4)
Br  0.213  0.117  0.063 (multiplicity 4)
Br  0.278  0.080  0.780 (multiplicity 4)

Principal peaks in the range 10 to 90 degrees two-theta, in order of rising 2θ:
index, 2θ (°), I/Imax
1 1 -1, 11.90, 36
0 1 2, 14.75, 84
1 1 -2, 15.02, 100
2 0 0, 18.20, 27
1 0 -4, 24.16, 30
2 0 2, 25.48, 40
0 1 4, 26.66, 36
2 1 -4, 27.24, 34
3 1 0, 28.51, 82
2 3 0, 29.20, 28

This entry pairs a crystal structure of Sr6As2I3Br with its theoretical powder XRD pattern. Radiation: a wavelength of 1.5418 Å. Structure: a cell relaxed with PBE.

Atomic structure:
Cell: 7.974 13.788 8.226 Å, 90.00 108.71 90.00°
Space group C2/m (No. 12)
Symmetry-distinct sites (fractional):
Sr  0.217  0.000  0.209 (multiplicity 4)
Sr  0.248  0.324  0.213 (multiplicity 8)
As  0.000  0.168  0.000 (multiplicity 4)
I  0.000  0.000  0.500 (multiplicity 2)
I  0.000  0.339  0.500 (multiplicity 4)
Br  0.000  0.500  0.000 (multiplicity 2)

Principal peaks in the range 10 to 90 degrees two-theta, in order of rising 2θ:
index, 2θ (°), I/Imax
2 0 -2, 27.09, 100
1 3 -2, 29.46, 8
2 0 2, 38.20, 34
3 3 -1, 39.17, 38
4 0 0, 48.20, 7
2 6 -2, 48.31, 13
2 6 2, 55.84, 7
3 3 -5, 62.53, 8
5 3 -3, 63.84, 16
4 6 -4, 70.40, 7

This entry pairs a crystal structure of AsIrBr2 with its theoretical powder XRD pattern. Radiation: a wavelength of 1.5418 Å. Structure: a cell relaxed with PBE.

Atomic structure:
Cell: 4.953 3.654 5.754 Å, 90.00 109.42 90.00°
Space group Pm (No. 6)
Symmetry-distinct sites (fractional):
As  0.000  0.000  0.000 (multiplicity 1)
Ir  0.851  0.500  0.722 (multiplicity 1)
Br  0.315  0.500  0.609 (multiplicity 1)
Br  0.681  0.000  0.293 (multiplicity 1)

Principal peaks in the range 10 to 90 degrees two-theta, in order of rising 2θ:
index, 2θ (°), I/Imax
0 0 1, 16.33, 43
1 0 0, 19.00, 44
1 0 -1, 20.55, 26
0 1 1, 29.47, 100
2 0 -1, 36.47, 40
1 1 1, 38.28, 31
1 1 -2, 40.76, 22
0 1 2, 41.45, 20
2 1 0, 46.12, 26
2 1 -2, 48.98, 25

This entry pairs a crystal structure of Rb2AsIrBr6 with its theoretical powder XRD pattern. Radiation: a wavelength of 1.5418 Å. Structure: a cell relaxed with PBE.

Atomic structure:
Cell: 7.557 7.557 10.742 Å, 90.00 90.00 90.00°
Space group I4/mmm (No. 139)
Symmetry-distinct sites (fractional):
Rb  0.000  0.500  0.250 (multiplicity 4)
As  0.000  0.000  0.000 (multiplicity 2)
Ir  0.000  0.000  0.500 (multiplicity 2)
Br  0.000  0.000  0.259 (multiplicity 4)
Br  0.241  0.241  0.500 (multiplicity 8)

Principal peaks in the range 10 to 90 degrees two-theta, in order of rising 2θ:
index, 2θ (°), I/Imax
1 0 1, 14.33, 34
1 1 0, 16.56, 66
2 0 0, 23.50, 66
2 0 2, 28.89, 55
0 0 4, 33.37, 51
2 2 0, 33.54, 100
2 2 4, 48.04, 71
4 0 0, 48.16, 35
4 0 4, 59.86, 36
6 2 0, 80.31, 31

This entry pairs a crystal structure of K2AsBr6 with its theoretical powder XRD pattern. Radiation: a wavelength of 1.5418 Å. Structure: a cell relaxed with PBE.

Atomic structure:
Cell: 7.200 7.200 13.870 Å, 90.00 90.00 90.00°
Space group P4_2/mnm (No. 136)
Symmetry-distinct sites (fractional):
K  0.000  0.000  0.166 (multiplicity 4)
As  0.000  0.000  0.500 (multiplicity 2)
Br  0.177  0.177  0.366 (multiplicity 8)
Br  0.246  0.246  0.000 (multiplicity 4)

Principal peaks in the range 10 to 90 degrees two-theta, in order of rising 2θ:
index, 2θ (°), I/Imax
0 0 2, 12.76, 24
1 0 1, 13.86, 49
1 1 0, 17.42, 47
1 1 3, 26.03, 100
2 1 0, 27.71, 35
2 1 3, 33.93, 38
2 2 0, 35.26, 30
1 1 5, 36.90, 23
2 1 4, 38.12, 30
3 0 3, 42.44, 34

Please write out number 3 again, unchanged.
This entry pairs a crystal structure of Sr6As2I3Br with its theoretical powder XRD pattern. Radiation: a wavelength of 1.5418 Å. Structure: a cell relaxed with PBE.

Atomic structure:
Cell: 7.974 13.788 8.226 Å, 90.00 108.71 90.00°
Space group C2/m (No. 12)
Symmetry-distinct sites (fractional):
Sr  0.217  0.000  0.209 (multiplicity 4)
Sr  0.248  0.324  0.213 (multiplicity 8)
As  0.000  0.168  0.000 (multiplicity 4)
I  0.000  0.000  0.500 (multiplicity 2)
I  0.000  0.339  0.500 (multiplicity 4)
Br  0.000  0.500  0.000 (multiplicity 2)

Principal peaks in the range 10 to 90 degrees two-theta, in order of rising 2θ:
index, 2θ (°), I/Imax
2 0 -2, 27.09, 100
1 3 -2, 29.46, 8
2 0 2, 38.20, 34
3 3 -1, 39.17, 38
4 0 0, 48.20, 7
2 6 -2, 48.31, 13
2 6 2, 55.84, 7
3 3 -5, 62.53, 8
5 3 -3, 63.84, 16
4 6 -4, 70.40, 7